Starting from a cell relaxed with PBE, the powder diffractogram of CsB9H14 was simulated for Cu Ka.

The 8 most intense peaks (10° ≤ 2θ ≤ 90°), by intensity:
Position (°2θ)  intensity  index
17.40  1000  1 1 0
17.97  968  0 0 2
20.57  709  0 2 0
22.20  609  -1 1 1
20.41  507  1 1 -1
15.51  483  1 0 0
13.82  479  0 1 -1
21.27  461  1 -1 1

```
data_CsB9H14
_cell_length_a 5.794
_cell_length_b 8.724
_cell_length_c 9.920
_cell_angle_alpha 87.59
_cell_angle_beta 84.56
_cell_angle_gamma 81.98
_symmetry_space_group_name_H-M 'P -1'
_symmetry_Int_Tables_number 2
loop_
_symmetry_equiv_pos_as_xyz
'x,y,z'
'-x,-y,-z'
loop_
_atom_site_label
_atom_site_type_symbol
_atom_site_fract_x
_atom_site_fract_y
_atom_site_fract_z
Cs1 Cs 0.098 0.278 0.282
B1 B 0.109 0.141 0.768
B2 B 0.134 0.318 0.848
B3 B 0.171 0.306 0.667
B4 B 0.252 0.132 0.915
B5 B 0.281 0.114 0.616
B6 B 0.343 0.996 0.771
B7 B 0.373 0.389 0.752
B8 B 0.397 0.301 0.916
B9 B 0.456 0.279 0.584
H1 H 0.030 0.386 0.605
H2 H 0.034 0.602 0.101
H3 H 0.080 0.902 0.226
H4 H 0.177 0.083 0.023
H5 H 0.201 0.066 0.522
H6 H 0.288 0.867 0.785
H7 H 0.351 0.724 0.377
H8 H 0.405 0.522 0.739
H9 H 0.439 0.366 0.012
H10 H 0.440 0.682 0.182
H11 H 0.449 0.003 0.228
H12 H 0.453 0.339 0.473
H13 H 0.474 0.151 0.927
H14 H 0.496 0.879 0.414
```

Starting from a cell relaxed with PBE, the powder diffractogram of CsB3H8 was simulated for Cu Ka.

The 8 most intense peaks (10° ≤ 2θ ≤ 90°), by intensity:
Position (°2θ)  intensity  index
18.68  1000  1 1 1
33.39  606  1 3 0
20.08  560  0 0 2
39.24  496  1 3 2
23.97  442  2 0 0
22.91  429  0 2 1
34.33  403  1 1 3
31.47  344  2 0 2

```
data_CsB3H8
_cell_length_a 7.423
_cell_length_b 8.639
_cell_length_c 8.845
_cell_angle_alpha 90.00
_cell_angle_beta 90.00
_cell_angle_gamma 90.00
_symmetry_space_group_name_H-M 'C m c m'
_symmetry_Int_Tables_number 63
_symmetry_space_group_name_Hall '-C 2c 2'
loop_
_atom_site_label
_atom_site_type_symbol
_atom_site_fract_x
_atom_site_fract_y
_atom_site_fract_z
Cs1 Cs 0.000 0.178 0.250
B1 B 0.000 0.222 0.649
B2 B 0.000 0.399 0.750
H1 H 0.000 0.355 0.589
H2 H 0.136 0.475 0.750
H3 H 0.138 0.164 0.601
```

Starting from a cell relaxed with PBE, the powder diffractogram of CsBH was simulated for Cu Ka.

The 8 most intense peaks (10° ≤ 2θ ≤ 90°), by intensity:
Position (°2θ)  intensity  index
17.65  1000  0 0 2
18.72  892  1 0 0
28.01  890  0 1 1
34.68  575  1 1 1
27.75  563  1 0 2
33.13  405  1 1 -1
30.25  382  1 0 -3
37.94  375  0 1 3

```
data_CsBH
_cell_length_a 4.794
_cell_length_b 3.358
_cell_length_c 10.168
_cell_angle_alpha 90.00
_cell_angle_beta 98.68
_cell_angle_gamma 90.00
_symmetry_space_group_name_H-M 'P 1 21/m 1'
_symmetry_Int_Tables_number 11
loop_
_symmetry_equiv_pos_as_xyz
'x,y,z'
'-x,-y,-z'
'-x,y+1/2,-z'
'x,-y+1/2,z'
loop_
_atom_site_label
_atom_site_type_symbol
_atom_site_fract_x
_atom_site_fract_y
_atom_site_fract_z
Cs1 Cs 0.067 0.250 0.210
B1 B 0.491 0.250 0.970
H1 H 0.450 0.250 0.843
```

Starting from a cell relaxed with PBE, the powder diffractogram of CsKBH4 was simulated for Cu Ka.

The 8 most intense peaks (10° ≤ 2θ ≤ 90°), by intensity:
Position (°2θ)  intensity  index
28.97  1000  1 1 2
20.34  606  1 1 0
17.62  522  1 0 1
35.68  301  2 0 2
20.46  300  0 0 2
46.53  283  3 1 0
51.30  243  1 3 2
34.06  213  1 2 1

```
data_CsKBH4
_cell_length_a 6.176
_cell_length_b 6.176
_cell_length_c 8.683
_cell_angle_alpha 90.00
_cell_angle_beta 90.00
_cell_angle_gamma 90.00
_symmetry_space_group_name_H-M 'I -4'
_symmetry_Int_Tables_number 82
loop_
_symmetry_equiv_pos_as_xyz
'x,y,z'
'y,-x,-z'
'-x,-y,z'
'-y,x,-z'
'x+1/2,y+1/2,z+1/2'
'y+1/2,-x+1/2,-z+1/2'
'-x+1/2,-y+1/2,z+1/2'
'-y+1/2,x+1/2,-z+1/2'
loop_
_atom_site_label
_atom_site_type_symbol
_atom_site_fract_x
_atom_site_fract_y
_atom_site_fract_z
Cs1 Cs 0.000 0.000 0.000
K1 K 0.000 0.000 0.500
B1 B 0.000 0.500 0.250
H1 H 0.075 0.646 0.331
```

Starting from a cell relaxed with PBE, the powder diffractogram of CsNdB2H8 was simulated for Cu Ka.

The 8 most intense peaks (10° ≤ 2θ ≤ 90°), by intensity:
Position (°2θ)  intensity  index
28.00  1000  1 0 4
25.37  931  0 1 2
20.23  544  0 0 6
36.80  465  0 1 8
47.97  362  1 1 6
43.01  301  1 1 0
42.35  272  1 0 10
61.03  200  1 1 12

```
data_CsNdB2H8
_cell_length_a 4.2059
_cell_length_b 4.2059
_cell_length_c 26.3324
_cell_angle_alpha 90.00
_cell_angle_beta 90.00
_cell_angle_gamma 120.00
_symmetry_space_group_name_H-M 'R -3 m'
_symmetry_Int_Tables_number 166
_symmetry_space_group_name_Hall '-R 3 2"'
loop_
_atom_site_label
_atom_site_type_symbol
_atom_site_fract_x
_atom_site_fract_y
_atom_site_fract_z
Cs1 Cs 0.0000 0.0000 0.0000
Nd1 Nd 0.0000 0.0000 0.5000
B1 B 0.0000 0.0000 0.2352
H1 H 0.0000 0.0000 0.2817
H2 H 0.0103 0.5051 0.4473
```